Record 1
For Sm3Rh, DFT lattice parameters and positions (GGA-PBE) gives the calculated powder diffractogram in this record (Cu Ka).

Structure:
Cell: 7.281 9.766 6.414 Å, 90.00 90.00 90.00°
Space group Pnma (No. 62)
Unique sites:
1 Sm 0.032 0.250 0.137 x4
2 Sm 0.178 0.064 0.668 x8
3 Rh 0.119 0.750 0.434 x4

Principal peaks in the range 2θ from 10° to 80°, by angle:
| 2θ/deg | I/Imax | h k l |
| --- | --- | --- |
| 30.63 | 69 | 2 2 0 |
| 30.80 | 89 | 0 3 1 |
| 31.84 | 100 | 1 1 2 |
| 33.23 | 65 | 1 3 1 |
| 33.74 | 73 | 2 2 1 |
| 55.24 | 60 | 3 3 2 |


Record 2
For Sm3Rh2, DFT lattice parameters and positions (GGA-PBE) gives the calculated powder diffractogram in this record (Cu Ka).

Structure:
Cell: 8.8035 8.8035 16.6975 Å, 90.00 90.00 120.00°
Space group R-3 (No. 148, hexagonal axes)
Unique sites:
1 Sm 0.0000 0.0000 0.0000 x3
2 Sm 0.0000 0.0000 0.2031 x6
3 Sm 0.0145 0.2592 0.5935 x18
4 Rh 0.0204 0.6144 0.5699 x18

Principal peaks in the range 2θ from 10° to 80°, by angle:
| 2θ/deg | I/Imax | h k l |
| --- | --- | --- |
| 29.19 | 38 | 0 1 5 |
| 31.51 | 65 | 2 1 1 |
| 32.88 | 100 | 1 2 2 |
| 35.32 | 75 | 3 0 0 |
| 37.94 | 69 | 3 -1 4 |
| 38.26 | 71 | 1 1 6 |


Record 3
For SmSn4Rh2, DFT lattice parameters and positions (GGA-PBE) gives the calculated powder diffractogram in this record (Cu Ka).

Structure:
Cell: 18.590 4.516 7.238 Å, 90.00 90.00 90.00°
Space group Pnma (No. 62)
Unique sites:
1 Sm 0.142 0.250 0.001 x4
2 Sn 0.032 0.750 0.866 x4
3 Sn 0.068 0.250 0.483 x4
4 Sn 0.182 0.750 0.302 x4
5 Sn 0.194 0.750 0.723 x4
6 Rh 0.035 0.750 0.249 x4
7 Rh 0.214 0.250 0.519 x4

Principal peaks in the range 2θ from 10° to 80°, by angle:
| 2θ/deg | I/Imax | h k l |
| --- | --- | --- |
| 33.16 | 100 | 2 1 2 |
| 33.59 | 63 | 5 1 1 |
| 35.13 | 21 | 6 1 0 |
| 36.02 | 29 | 7 0 1 |
| 39.93 | 47 | 0 2 0 |
| 43.35 | 21 | 6 1 2 |


Record 4
For Sm5Sn10Rh4, DFT lattice parameters and positions (GGA-PBE) gives the calculated powder diffractogram in this record (Cu Ka).

Structure:
Cell: 14.170 14.170 4.596 Å, 90.00 90.00 90.00°
Space group P4/mbm (No. 127)
Unique sites:
1 Sm 0.000 0.000 0.000 x2
2 Sm 0.112 0.388 0.500 x4
3 Sm 0.177 0.677 0.500 x4
4 Sn 0.006 0.837 0.500 x8
5 Sn 0.069 0.569 0.000 x4
6 Sn 0.155 0.198 0.000 x8
7 Rh 0.027 0.753 0.000 x8

Principal peaks in the range 2θ from 10° to 80°, by angle:
| 2θ/deg | I/Imax | h k l |
| --- | --- | --- |
| 29.91 | 48 | 3 2 1 |
| 32.21 | 36 | 5 1 0 |
| 32.53 | 27 | 4 1 1 |
| 33.16 | 100 | 3 3 1 |
| 34.38 | 27 | 4 2 1 |
| 39.20 | 49 | 0 0 2 |


Record 5
For SmSnRh, DFT lattice parameters and positions (GGA-PBE) gives the calculated powder diffractogram in this record (Cu Ka).

Structure:
Cell: 7.5912 7.5912 3.9971 Å, 90.00 90.00 120.00°
Space group P-62m (No. 189)
Unique sites:
1 Sm 0.0000 0.4084 0.0000 x3
2 Sn 0.0000 0.7433 0.5000 x3
3 Rh 0.0000 0.0000 0.0000 x1
4 Rh 0.3333 0.6667 0.5000 x2

Principal peaks in the range 2θ from 10° to 80°, by angle:
| 2θ/deg | I/Imax | h k l |
| --- | --- | --- |
| 32.53 | 100 | 1 1 1 |
| 35.35 | 88 | 2 0 1 |
| 36.15 | 48 | 2 1 0 |
| 41.19 | 35 | 3 0 0 |
| 45.38 | 26 | 0 0 2 |
| 66.23 | 32 | 3 2 1 |


Record 6
For SmYRh2, DFT lattice parameters and positions (GGA-PBE) gives the calculated powder diffractogram in this record (Cu Ka).

Structure:
Cell: 6.950 6.950 6.950 Å, 90.00 90.00 90.00°
Space group Fm-3m (No. 225)
Unique sites:
1 Sm 0.000 0.000 0.000 x4
2 Y 0.000 0.000 0.500 x4
3 Rh 0.250 0.250 0.250 x8

Principal peaks in the range 2θ from 10° to 80°, by angle:
| 2θ/deg | I/Imax | h k l |
| --- | --- | --- |
| 22.15 | 4 | 1 1 1 |
| 36.57 | 100 | 2 2 0 |
| 43.17 | 2 | 3 1 1 |
| 52.68 | 17 | 4 0 0 |
| 65.83 | 35 | 4 2 2 |
| 77.73 | 11 | 4 4 0 |


Record 7
For SmZnRh, DFT lattice parameters and positions (GGA-PBE) gives the calculated powder diffractogram in this record (Cu Ka).

Structure:
Cell: 7.053 4.119 8.218 Å, 90.00 90.00 90.00°
Space group Pnma (No. 62)
Unique sites:
1 Sm 0.038 0.250 0.186 x4
2 Zn 0.138 0.250 0.564 x4
3 Rh 0.242 0.750 0.379 x4

Principal peaks in the range 2θ from 10° to 80°, by angle:
| 2θ/deg | I/Imax | h k l |
| --- | --- | --- |
| 33.32 | 47 | 1 1 2 |
| 33.47 | 31 | 2 1 0 |
| 35.22 | 100 | 2 1 1 |
| 39.51 | 29 | 0 1 3 |
| 43.97 | 28 | 0 2 0 |
| 64.29 | 24 | 3 2 2 |


Record 8
For SnRh, DFT lattice parameters and positions (GGA-PBE) gives the calculated powder diffractogram in this record (Cu Ka).

Structure:
Cell: 5.213 5.213 5.213 Å, 90.00 90.00 90.00°
Space group P2_13 (No. 198)
Unique sites:
1 Sn 0.160 0.340 0.660 x4
2 Rh 0.144 0.144 0.144 x4

Principal peaks in the range 2θ from 10° to 80°, by angle:
| 2θ/deg | I/Imax | h k l |
| --- | --- | --- |
| 29.68 | 11 | 1 1 1 |
| 34.41 | 13 | 2 0 0 |
| 38.62 | 100 | 2 1 0 |
| 42.48 | 51 | 2 1 1 |
| 58.74 | 10 | 3 1 1 |
| 67.19 | 39 | 3 1 2 |